Starting from DFT lattice parameters and positions (GGA-PBE), the powder XRD pattern of AcNdSm4Dy2 was computed for Cu Ka.

a b c (Å): 11.5749 5.1665 10.3919
angles (deg): 90.00 116.70 90.00
Space group C2/m (No. 12)
Unique sites:
Ac  0.0000  0.0000  0.0000 x2
Nd  0.0000  0.0000  0.5000 x2
Sm  0.2481  0.0000  0.8705 x4
Sm  0.2490  0.5000  0.6220 x4
Dy  0.0009  0.5000  0.7450 x4

Largest 6 diffraction maxima, most intense first, 5° ≤ 2θ ≤ 70°:
hkl 1 1 2, d = 2.989 Å, intensity 100; hkl 4 0 0, d = 2.584 Å, intensity 34; hkl 1 3 2, d = 1.559 Å, intensity 29; hkl 6 0 -4, d = 1.832 Å, intensity 24; hkl 2 0 -4, d = 2.598 Å, intensity 17; hkl 5 1 -6, d = 1.565 Å, intensity 15